AcHoZn2Ga2: calculated XRD peak list (Cu Kα (λ = 1.5418 Å)), based on a PBE-relaxed structure.
Lines closer than 0.1° are merged.

Structural model:
Cell lengths 4.4833, 4.4833, 7.8525 Å; angles 90.00, 90.00, 120.00 degrees
Space group P-3m1 (No. 164)
Asymmetric unit:
Ac: 0.0000 0.0000 0.0000 (multiplicity 1)
Ho: 0.0000 0.0000 0.5000 (multiplicity 1)
Zn: 0.3333 0.6667 0.7006 (multiplicity 2)
Ga: 0.3333 0.6667 0.2866 (multiplicity 2)

Largest 10 diffraction maxima, in order of falling intensity, 10 to 90 degrees two-theta:
32.4°, I = 100.0; 40.2°, I = 49.1; 52.6°, I = 25.7; 22.9°, I = 25.7; 68.2°, I = 23.5; 62.9°, I = 15.6; 52.2°, I = 10.4; 73.1°, I = 8.3; 46.2°, I = 6.5; 53.8°, I = 6.5